Diffraction record for CeGa2I5. The XRD peak list is calculated, not measured: it uses the GGA-PBE geometry in Alexandria and Cu Kα X-rays.

The 6 most intense peaks (10° ≤ 2θ ≤ 90°), low angle first:
11.56°, I 66; 16.41°, I 70; 23.24°, I 100; 29.25°, I 59; 30.90°, I 95; 43.06°, I 74

Atomic structure:
Cell lengths 8.242, 8.242, 9.354 Å; angles 96.93, 96.93, 136.51 degrees
Positions (direct):
Ce 0.000 0.000 0.000
Ga 0.239 0.239 0.478
Ga 0.761 0.761 0.522
I 0.010 0.733 0.743
I 0.267 0.990 0.257
I 0.500 0.500 0.000
I 0.733 0.010 0.743
I 0.990 0.267 0.257

***

Diffraction record for Ce4Se6S. The XRD peak list is calculated, not measured: it uses the GGA-PBE geometry in Alexandria and Cu Kα X-rays.

The 6 most intense peaks (10° ≤ 2θ ≤ 90°), low angle first:
24.38°, I 81; 30.60°, I 59; 32.50°, I 100; 36.88°, I 96; 43.02°, I 61; 44.74°, I 50

Atomic structure:
Cell lengths 9.750, 9.750, 7.273 Å; angles 90.00, 90.00, 120.00 degrees
Positions (direct):
Ce 0.184 0.367 0.000
Ce 0.184 0.816 0.000
Ce 0.333 0.667 0.498
Ce 0.367 0.184 0.500
Ce 0.633 0.816 0.000
Ce 0.667 0.333 0.998
Ce 0.816 0.184 0.500
Ce 0.816 0.633 0.500
Se 0.072 0.536 0.251
Se 0.142 0.283 0.602
Se 0.142 0.858 0.602
Se 0.283 0.142 0.102
Se 0.464 0.536 0.251
Se 0.464 0.928 0.251
Se 0.536 0.072 0.751
Se 0.536 0.464 0.751
Se 0.717 0.858 0.602
Se 0.858 0.142 0.102
Se 0.858 0.717 0.102
Se 0.928 0.464 0.751
S 0.333 0.667 0.867
S 0.667 0.333 0.367

***

> Number 2 is which compound?

Ce4Se6S

***

> Which formula does entry 2 have?

Ce4Se6S